# Zr5P
Simulated powder XRD pattern, Cu Kα, 1.54184 Å. Input: a DFT-relaxed cell (GGA-PBE, Alexandria).

Cell and atoms:
```
6
Lattice="3.509 0.000 0.000 0.000 3.509 0.000 0.000 0.000 10.202" Properties=species:S:1:pos:R:3 pbc="T T T"
Zr 0.000 0.000 0.000
Zr 0.000 0.000 3.700
Zr 0.000 0.000 6.502
Zr 1.754 1.754 1.868
Zr 1.754 1.754 8.334
P 1.754 1.754 5.101
```

The 10 most intense peaks (2θ = 15–90°), in order of rising 2θ:
30.9°, rel. 19; 36.2°, rel. 61; 36.8°, rel. 100; 52.1°, rel. 21; 58.6°, rel. 10; 65.5°, rel. 35; 66.7°, rel. 10; 80.1°, rel. 7; 88.0°, rel. 9; 88.4°, rel. 8

# LiCaHRh2
Simulated powder XRD pattern, Cu Kα, 1.54184 Å. Input: a DFT-relaxed cell (GGA-PBE, Alexandria).

Cell and atoms:
```
5
Lattice="4.040 0.000 0.000 0.000 4.040 0.000 0.000 0.000 4.152" Properties=species:S:1:pos:R:3 pbc="T T T"
Li 0.000 0.000 0.000
Ca 2.020 2.020 0.000
H 0.000 0.000 2.076
Rh 0.000 2.020 2.076
Rh 2.020 0.000 2.076
```

The 10 most intense peaks (2θ = 15–90°), in order of rising 2θ:
21.4°, rel. 47; 31.3°, rel. 35; 38.2°, rel. 100; 43.6°, rel. 17; 44.9°, rel. 32; 50.2°, rel. 19; 54.7°, rel. 14; 64.4°, rel. 21; 76.5°, rel. 12; 78.3°, rel. 23

# TmMg6Cd
Simulated powder XRD pattern, Cu Kα, 1.54184 Å. Input: a DFT-relaxed cell (GGA-PBE, Alexandria).

Cell and atoms:
```
8
Lattice="4.996 0.000 0.000 0.000 3.675 5.155 0.000 -3.675 5.155" Properties=species:S:1:pos:R:3 pbc="T T T"
Tm 0.000 0.000 0.000
Mg 0.000 0.000 4.662
Mg 0.000 -1.601 7.502
Mg 0.000 1.601 7.502
Mg 2.498 -1.606 5.289
Mg 2.498 1.606 5.289
Mg 2.498 0.000 8.115
Cd 2.498 0.000 2.432
```

The 10 most intense peaks (2θ = 15–90°), in order of rising 2θ:
23.2°, rel. 43; 24.2°, rel. 21; 24.8°, rel. 35; 33.9°, rel. 37; 34.8°, rel. 23; 35.0°, rel. 100; 36.0°, rel. 25; 37.7°, rel. 12; 50.9°, rel. 15; 64.0°, rel. 17

# K2Rb3Pb4
Simulated powder XRD pattern, Cu Kα, 1.54184 Å. Input: a DFT-relaxed cell (GGA-PBE, Alexandria).

Cell and atoms:
```
9
Lattice="8.749 -3.047 0.000 8.749 3.047 0.000 -4.119 0.000 7.678" Properties=species:S:1:pos:R:3 pbc="T T T"
K 3.641 0.000 1.028
K 9.737 0.000 6.650
Rb -0.210 0.000 1.937
Rb 6.689 0.000 3.839
Rb 13.588 0.000 5.741
Pb 2.457 0.000 4.553
Pb 3.069 0.000 7.604
Pb 10.309 0.000 0.074
Pb 10.921 0.000 3.125
```

The 10 most intense peaks (2θ = 15–90°), in order of rising 2θ:
15.6°, rel. 47; 17.8°, rel. 30; 20.3°, rel. 36; 25.9°, rel. 34; 29.3°, rel. 67; 29.5°, rel. 73; 30.3°, rel. 100; 31.5°, rel. 41; 35.9°, rel. 49; 43.5°, rel. 37

# DyGe4Pd4
Simulated powder XRD pattern, Cu Kα, 1.54184 Å. Input: a DFT-relaxed cell (GGA-PBE, Alexandria).

Cell and atoms:
```
18
Lattice="6.239 0.000 0.000 0.000 6.239 0.000 0.000 0.000 8.356" Properties=species:S:1:pos:R:3 pbc="T T T"
Dy 1.560 4.679 2.089
Dy 4.679 1.560 6.267
Ge 0.168 1.560 0.436
Ge 1.560 0.168 4.614
Ge 1.560 2.951 4.614
Ge 2.951 1.560 0.436
Ge 3.288 4.679 7.920
Ge 4.679 3.288 3.742
Ge 4.679 6.071 3.742
Ge 6.071 4.679 7.920
Pd 0.172 1.560 2.915
Pd 1.560 0.172 7.092
Pd 1.560 2.948 7.092
Pd 2.948 1.560 2.915
Pd 3.291 4.679 5.441
Pd 4.679 3.291 1.263
Pd 4.679 6.067 1.263
Pd 6.067 4.679 5.441
```

The 10 most intense peaks (2θ = 15–90°), in order of rising 2θ:
29.4°, rel. 13; 33.9°, rel. 100; 35.3°, rel. 27; 40.9°, rel. 25; 43.6°, rel. 47; 45.8°, rel. 13; 55.1°, rel. 14; 59.2°, rel. 19; 76.4°, rel. 16; 84.4°, rel. 13

# LiSc2TiAs
Simulated powder XRD pattern, Cu Kα, 1.54184 Å. Input: a DFT-relaxed cell (GGA-PBE, Alexandria).

Cell and atoms:
```
5
Lattice="4.692 0.000 0.000 0.000 4.692 0.000 0.000 0.000 4.445" Properties=species:S:1:pos:R:3 pbc="T T T"
Li 0.000 0.000 0.000
Sc 0.000 2.346 0.000
Sc 2.346 0.000 0.000
Ti 0.000 0.000 2.223
As 2.346 2.346 2.223
```

The 10 most intense peaks (2θ = 15–90°), in order of rising 2θ:
27.6°, rel. 5; 33.7°, rel. 100; 38.4°, rel. 38; 40.6°, rel. 16; 55.4°, rel. 12; 57.1°, rel. 22; 66.4°, rel. 24; 69.5°, rel. 11; 70.9°, rel. 11; 82.2°, rel. 4

# SmAl2Pt3
Simulated powder XRD pattern, Cu Kα, 1.54184 Å. Input: a DFT-relaxed cell (GGA-PBE, Alexandria).

Cell and atoms:
```
12
Lattice="4.996 -4.058 0.000 4.996 4.058 0.000 0.000 0.000 5.464" Properties=species:S:1:pos:R:3 pbc="T T T"
Sm 4.996 2.672 4.098
Sm 4.996 -2.672 1.366
Al 2.843 0.000 0.000
Al 2.843 0.000 2.732
Al 7.149 0.000 0.000
Al 7.149 0.000 2.732
Pt 3.376 2.426 1.366
Pt 6.615 2.426 1.366
Pt 4.996 0.238 1.366
Pt 4.996 -0.238 4.098
Pt 3.376 -2.426 4.098
Pt 6.615 -2.426 4.098
```

The 10 most intense peaks (2θ = 15–90°), in order of rising 2θ:
32.8°, rel. 98; 33.4°, rel. 100; 34.3°, rel. 51; 43.9°, rel. 18; 44.3°, rel. 15; 45.8°, rel. 21; 46.3°, rel. 23; 48.2°, rel. 36; 58.9°, rel. 20; 65.7°, rel. 18

# AlHg2Pd5
Simulated powder XRD pattern, Cu Kα, 1.54184 Å. Input: a DFT-relaxed cell (GGA-PBE, Alexandria).

Cell and atoms:
```
8
Lattice="-2.125 2.125 7.316 2.125 -2.125 7.316 2.125 2.125 -7.316" Properties=species:S:1:pos:R:3 pbc="T T T"
Al 0.000 0.000 0.000
Hg 0.000 0.000 3.698
Hg 0.000 0.000 10.933
Pd 2.125 0.000 1.671
Pd 2.125 0.000 5.645
Pd 0.000 0.000 7.316
Pd 0.000 2.125 1.671
Pd 0.000 2.125 5.645
```

The 10 most intense peaks (2θ = 15–90°), in order of rising 2θ:
32.2°, rel. 19; 38.8°, rel. 100; 42.5°, rel. 40; 49.9°, rel. 11; 57.5°, rel. 7; 61.7°, rel. 13; 67.6°, rel. 17; 75.3°, rel. 28; 83.2°, rel. 10; 86.1°, rel. 8

# TbNd5Tm2
Simulated powder XRD pattern, Cu Kα, 1.54184 Å. Input: a DFT-relaxed cell (GGA-PBE, Alexandria).

Cell and atoms:
```
16
Lattice="-4.630 4.630 6.314 4.630 -4.630 6.314 4.630 4.630 -6.314" Properties=species:S:1:pos:R:3 pbc="T T T"
Tb 0.000 0.000 3.157
Tb 0.000 0.000 9.471
Nd 0.000 0.000 0.000
Nd 3.246 -1.384 2.062
Nd 6.014 -1.384 4.252
Nd 6.014 1.384 2.062
Nd 3.246 1.384 4.252
Nd 0.000 0.000 6.314
Nd 1.384 3.246 2.062
Nd -1.384 3.246 4.252
Nd -1.384 6.014 2.062
Nd 1.384 6.014 4.252
Tm 3.274 1.356 0.000
Tm 3.274 -1.356 6.314
Tm 1.356 5.986 0.000
Tm 1.356 3.274 6.314
```

The 10 most intense peaks (2θ = 15–90°), in order of rising 2θ:
27.2°, rel. 10; 30.3°, rel. 100; 30.5°, rel. 66; 43.7°, rel. 10; 45.8°, rel. 11; 53.6°, rel. 10; 57.9°, rel. 25; 59.3°, rel. 9; 61.2°, rel. 9; 70.9°, rel. 10

# Ni4P2Pd
Simulated powder XRD pattern, Cu Kα, 1.54184 Å. Input: a DFT-relaxed cell (GGA-PBE, Alexandria).

Cell and atoms:
```
14
Lattice="6.945 0.000 0.000 0.000 6.945 0.000 0.000 0.000 3.531" Properties=species:S:1:pos:R:3 pbc="T T T"
Ni 0.420 2.215 0.000
Ni 1.258 3.892 1.765
Ni 2.215 0.420 0.000
Ni 3.053 5.688 1.765
Ni 3.892 1.258 1.765
Ni 4.730 6.526 0.000
Ni 5.688 3.053 1.765
Ni 6.526 4.730 0.000
P 1.732 5.213 0.000
P 1.741 1.741 1.765
P 5.205 5.205 1.765
P 5.213 1.732 0.000
Pd 0.000 0.000 1.765
Pd 3.473 3.473 0.000
```

The 10 most intense peaks (2θ = 15–90°), in order of rising 2θ:
38.6°, rel. 100; 41.1°, rel. 33; 45.0°, rel. 12; 48.8°, rel. 23; 51.8°, rel. 18; 54.5°, rel. 9; 60.9°, rel. 8; 68.2°, rel. 14; 73.2°, rel. 12; 88.9°, rel. 8

# Pr3Er2Cd3
Simulated powder XRD pattern, Cu Kα, 1.54184 Å. Input: a DFT-relaxed cell (GGA-PBE, Alexandria).

Cell and atoms:
```
8
Lattice="-1.884 2.771 11.324 1.884 -2.771 11.324 1.884 2.771 -11.324" Properties=species:S:1:pos:R:3 pbc="T T T"
Pr 0.000 0.000 0.000
Pr 1.884 0.000 8.493
Pr 0.000 2.771 2.831
Er 0.000 0.000 5.328
Er 0.000 0.000 17.320
Cd 1.884 0.000 2.777
Cd 0.000 0.000 11.324
Cd 0.000 2.771 8.547
```

The 10 most intense peaks (2θ = 15–90°), in order of rising 2θ:
31.6°, rel. 24; 32.3°, rel. 27; 32.8°, rel. 100; 45.8°, rel. 17; 48.3°, rel. 9; 57.1°, rel. 14; 57.9°, rel. 19; 58.9°, rel. 8; 59.3°, rel. 9; 68.8°, rel. 10

# Ca3Ga8
Simulated powder XRD pattern, Cu Kα, 1.54184 Å. Input: a DFT-relaxed cell (GGA-PBE, Alexandria).

Cell and atoms:
```
11
Lattice="-2.163 2.166 12.884 2.163 -2.166 12.884 2.163 2.166 -12.884" Properties=species:S:1:pos:R:3 pbc="T T T"
Ca 0.000 0.000 0.000
Ca 2.163 0.000 9.120
Ca 0.000 2.166 3.764
Ga 2.163 0.000 2.439
Ga 2.163 0.000 4.926
Ga 0.000 0.000 6.446
Ga 0.000 0.000 11.642
Ga 0.000 0.000 14.126
Ga 0.000 0.000 19.322
Ga 0.000 2.166 7.958
Ga 0.000 2.166 10.445
```

The 10 most intense peaks (2θ = 15–90°), in order of rising 2θ:
20.8°, rel. 44; 31.9°, rel. 45; 32.4°, rel. 100; 41.7°, rel. 75; 43.9°, rel. 36; 46.0°, rel. 42; 53.5°, rel. 19; 60.5°, rel. 24; 62.2°, rel. 24; 70.3°, rel. 19

# Tb2Dy5Mg
Simulated powder XRD pattern, Cu Kα, 1.54184 Å. Input: a DFT-relaxed cell (GGA-PBE, Alexandria).

Cell and atoms:
```
16
Lattice="3.653 0.000 0.000 0.000 16.126 0.000 -0.018 0.000 8.349" Properties=species:S:1:pos:R:3 pbc="T T T"
Tb 0.001 0.356 1.746
Tb 0.001 7.708 1.746
Tb 3.633 8.419 6.603
Tb 3.633 15.771 6.603
Dy 3.648 4.032 2.139
Dy -0.013 12.095 6.210
Dy 1.822 10.395 0.485
Dy 1.822 13.795 0.485
Dy 1.817 1.783 4.315
Dy 1.817 6.281 4.315
Dy 1.818 9.846 4.033
Dy 1.818 14.344 4.033
Dy 1.812 2.332 7.864
Dy 1.812 5.732 7.864
Mg -0.012 4.032 5.720
Mg 3.647 12.095 2.629
```

The 10 most intense peaks (2θ = 15–90°), in order of rising 2θ:
27.2°, rel. 25; 29.7°, rel. 24; 30.8°, rel. 90; 32.6°, rel. 94; 32.7°, rel. 20; 33.1°, rel. 100; 35.1°, rel. 21; 50.0°, rel. 39; 56.6°, rel. 17; 59.9°, rel. 18

# TlIn9Ga2
Simulated powder XRD pattern, Cu Kα, 1.54184 Å. Input: a DFT-relaxed cell (GGA-PBE, Alexandria).

Cell and atoms:
```
12
Lattice="4.842 0.000 0.000 0.000 4.842 0.000 0.000 0.000 13.390" Properties=species:S:1:pos:R:3 pbc="T T T"
Tl 0.000 0.000 0.000
In 0.000 2.421 2.423
In 0.000 2.421 6.695
In 0.000 2.421 10.967
In 2.421 0.000 2.423
In 2.421 0.000 6.695
In 2.421 0.000 10.967
In 2.421 2.421 0.000
In 2.421 2.421 4.566
In 2.421 2.421 8.824
Ga 0.000 0.000 4.556
Ga 0.000 0.000 8.834
```

The 10 most intense peaks (2θ = 15–90°), in order of rising 2θ:
33.0°, rel. 100; 37.1°, rel. 37; 40.4°, rel. 13; 53.5°, rel. 13; 56.0°, rel. 20; 64.3°, rel. 28; 68.8°, rel. 9; 69.2°, rel. 10; 79.1°, rel. 4; 88.4°, rel. 6